1.
Structure and computed powder diffraction line list of LiAl3N (a PBE-relaxed structure; Cu Kα (weighted mean of Kα1 and Kα2)).
Peak positions follow from Bragg's law for the DFT cell and can differ from measured ones.

Structure:
Lattice parameters (Å, degrees): 4.106 4.106 4.106 90.00 90.00 90.00
Element x y z (fractional)
Li  0.000  0.000  0.000
Al  0.000  0.500  0.500
Al  0.500  0.000  0.500
Al  0.500  0.500  0.000
N  0.500  0.500  0.500

Largest 10 diffraction maxima, by intensity, 15 to 90 degrees two-theta:
Position (°2θ)  I/Imax
38.0  1000
21.6  886
44.1  881
64.1  545
77.0  403
49.6  285
81.1  180
68.6  121
85.2  52
30.8  32

---

2.
Structure and computed powder diffraction line list of VGaBr (a PBE-relaxed structure; Cu Kα (weighted mean of Kα1 and Kα2)).
Peak positions follow from Bragg's law for the DFT cell and can differ from measured ones.

Structure:
Lattice parameters (Å, degrees): 3.966 3.236 11.086 90.00 90.45 90.00
Element x y z (fractional)
V  0.000  0.000  0.000
V  0.004  0.500  0.179
Ga  0.501  0.500  0.026
Ga  0.995  0.500  0.808
Br  0.007  0.000  0.351
Br  0.492  0.500  0.656

Largest 10 diffraction maxima, by intensity, 15 to 90 degrees two-theta:
Position (°2θ)  I/Imax
43.5  1000
43.7  951
27.6  753
28.7  551
32.0  530
27.8  523
24.1  492
45.8  474
56.9  333
35.8  309

---

3.
Structure and computed powder diffraction line list of CaIn2Se4 (a PBE-relaxed structure; Cu Kα (weighted mean of Kα1 and Kα2)).
Peak positions follow from Bragg's law for the DFT cell and can differ from measured ones.

Structure:
Lattice parameters (Å, degrees): 6.375 6.375 10.837 90.00 90.00 115.21
Element x y z (fractional)
Ca  0.000  0.000  0.250
Ca  0.000  0.000  0.750
In  0.274  0.718  0.000
In  0.282  0.726  0.500
In  0.718  0.274  0.500
In  0.726  0.282  0.000
Se  0.000  0.500  0.185
Se  0.000  0.500  0.815
Se  0.144  0.279  0.500
Se  0.279  0.144  0.000
Se  0.500  0.000  0.315
Se  0.500  0.000  0.685
Se  0.721  0.856  0.000
Se  0.856  0.721  0.500

Largest 10 diffraction maxima, by intensity, 15 to 90 degrees two-theta:
Position (°2θ)  I/Imax
35.3  1000
16.4  444
16.5  401
29.3  354
29.2  333
33.1  252
33.3  176
46.0  169
43.9  151
46.1  149

---

4.
Structure and computed powder diffraction line list of Pr2Sn4Pd9 (a PBE-relaxed structure; Cu Kα (weighted mean of Kα1 and Kα2)).
Peak positions follow from Bragg's law for the DFT cell and can differ from measured ones.

Structure:
Lattice parameters (Å, degrees): 4.573 4.573 16.678 90.00 90.00 120.00
Element x y z (fractional)
Pr  0.333  0.667  0.254
Pr  0.667  0.333  0.746
Sn  0.333  0.667  0.605
Sn  0.333  0.667  0.894
Sn  0.667  0.333  0.106
Sn  0.667  0.333  0.395
Pd  0.000  0.000  0.000
Pd  0.000  0.000  0.166
Pd  0.000  0.000  0.352
Pd  0.000  0.000  0.648
Pd  0.000  0.000  0.834
Pd  0.333  0.667  0.063
Pd  0.333  0.667  0.445
Pd  0.667  0.333  0.555
Pd  0.667  0.333  0.937

Largest 10 diffraction maxima, by intensity, 15 to 90 degrees two-theta:
Position (°2θ)  I/Imax
39.4  1000
39.6  558
35.2  468
71.6  192
57.1  190
71.5  173
27.7  160
53.8  137
68.7  130
66.0  124